For Li2TcBr5, a DFT-relaxed cell (PBE, Alexandria) gives the calculated X-ray diffraction stick pattern in this record (Cu Kα (λ = 1.5418 Å)).
Peak positions follow from Bragg's law for the DFT cell and can differ from measured ones.

Structural model:
```
data_Li2TcBr5
_chemical_formula_sum 'Li4 Tc2 Br10'
_cell_length_a 10.787
_cell_length_b 8.815
_cell_length_c 6.508
_cell_angle_alpha 90.00
_cell_angle_beta 126.24
_cell_angle_gamma 90.00
_symmetry_space_group_name_H-M 'C 1 m 1'
_symmetry_Int_Tables_number 8
loop_
_symmetry_equiv_pos_as_xyz
'x,y,z'
'x,-y,z'
'x+1/2,y+1/2,z'
'x+1/2,-y+1/2,z'
loop_
_atom_site_label
_atom_site_fract_x
_atom_site_fract_y
_atom_site_fract_z
Li1 0.000 0.205 0.000
Tc1 0.297 0.500 0.192
Br1 0.005 0.500 0.907
Br2 0.078 0.000 0.364
Br3 0.290 0.217 0.129
Br4 0.342 0.500 0.654
```

Largest 10 diffraction maxima, low angle first, 5° ≤ 2θ ≤ 70°:
14.3°, I = 45, (1 1 0)
16.9°, I = 100, (0 0 1)
20.1°, I = 28, (0 2 0)
26.5°, I = 38, (1 1 1)
26.6°, I = 39, (2 2 -1)
27.4°, I = 72, (2 0 -2)
32.2°, I = 27, (1 3 0)
33.5°, I = 33, (1 3 -1)
34.0°, I = 32, (4 0 -1)
42.7°, I = 32, (1 3 -2)